Computed X-ray diffraction stick pattern of Y3NbO7 for Cu Kα (λ = 1.5418 Å), from DFT lattice parameters and positions (PBE).
Neutral-atom scattering factors, no anomalous dispersion.

Largest 6 diffraction maxima, low angle first, 10° ≤ 2θ ≤ 90°:
2θ/deg  d [Å]  I (rel.)  index
28.64  3.117  100  2 0 1
29.69  3.009  97  0 4 1
34.02  2.635  31  2 4 0
48.41  1.880  71  2 4 2
57.03  1.615  25  4 4 1
58.84  1.569  24  2 8 1

Structure:
```
data_Y3NbO7
_chemical_formula_sum 'Y12 Nb4 O28'
_space_group_name_H-M_alt 'C 1 m 1'
_space_group_IT_number 8
_space_group_name_Hall 'C -2y'
_cell_length_a 7.6564
_cell_length_b 14.5322
_cell_length_c 5.3669
_cell_angle_alpha 90.00
_cell_angle_beta 90.06
_cell_angle_gamma 90.00
loop_
_atom_site_label
_atom_site_type_symbol
_atom_site_fract_x
_atom_site_fract_y
_atom_site_fract_z
_atom_site_occupancy
Y1 Y 0.0000 0.0000 0.0000 1
Y2 Y 0.9999 0.5000 0.0013 1
Y3 Y 0.2474 0.3711 0.4821 1
Y4 Y 0.2477 0.1308 0.5310 1
Nb1 Nb 0.4635 0.2494 0.0088 1
O1 O 0.0271 0.3700 0.7642 1
O2 O 0.0281 0.1326 0.2334 1
O3 O 0.2501 0.0000 0.7619 1
O4 O 0.2501 0.5000 0.2442 1
O5 O 0.2534 0.2407 0.7960 1
O6 O 0.2534 0.2599 0.2286 1
O7 O 0.4667 0.1284 0.2406 1
O8 O 0.4682 0.3738 0.7575 1
```